# 1
# Sr2CdIn3O8
Computed XRD peak list, Cu Kα (weighted mean of Kα1 and Kα2). Input: DFT lattice parameters and positions (PBE).
Kinematic intensities with the Lorentz-polarization factor, no thermal factor.

```
data_Sr2CdIn3O8
_space_group_name_H-M_alt 'R 3 m'
_space_group_IT_number 160
_space_group_name_Hall 'R 3 -2"'
_cell_length_a 6.7422
_cell_length_b 6.7422
_cell_length_c 17.1685
_cell_angle_alpha 90.00
_cell_angle_beta 90.00
_cell_angle_gamma 120.00
loop_
_atom_site_label
_atom_site_type_symbol
_atom_site_fract_x
_atom_site_fract_y
_atom_site_fract_z
Sr1 Sr 0.0000 0.0000 0.0000
Sr2 Sr 0.0000 0.0000 0.3783
Cd1 Cd 0.0000 0.0000 0.6192
In1 In 0.1681 0.3362 0.8342
O1 O 0.0000 0.0000 0.2363
O2 O 0.0000 0.0000 0.7613
O3 O 0.0349 0.5174 0.7663
O4 O 0.1776 0.3553 0.5695
```

Peak list (10 most intense, 2θ = 10–90°, low angle first)
| 2theta | d [Å] | I/Imax | hkl |
| --- | --- | --- | --- |
| 25.76 | 3.458 | 38 | 1 0 4 |
| 30.19 | 2.960 | 58 | 0 1 5 |
| 30.78 | 2.905 | 100 | 1 1 3 |
| 31.07 | 2.878 | 68 | 0 2 1 |
| 32.39 | 2.764 | 40 | 2 0 2 |
| 37.25 | 2.414 | 33 | 0 2 4 |
| 49.07 | 1.857 | 35 | 1 2 5 |
| 49.46 | 1.843 | 26 | 0 3 3 |
| 52.95 | 1.729 | 48 | 2 0 8 |
| 54.43 | 1.686 | 47 | 2 2 0 |



# 2
# Rb2BaTaO4
Computed XRD peak list, Cu Kα (weighted mean of Kα1 and Kα2). Input: DFT lattice parameters and positions (PBE).
Kinematic intensities with the Lorentz-polarization factor, no thermal factor.

```
data_Rb2BaTaO4
_space_group_name_H-M_alt 'I -4'
_space_group_IT_number 82
_space_group_name_Hall 'I -4'
_cell_length_a 6.3173
_cell_length_b 6.3173
_cell_length_c 10.6057
_cell_angle_alpha 90.00
_cell_angle_beta 90.00
_cell_angle_gamma 90.00
loop_
_atom_site_label
_atom_site_type_symbol
_atom_site_fract_x
_atom_site_fract_y
_atom_site_fract_z
Rb1 Rb 0.0000 0.0000 0.0000
Rb2 Rb 0.0000 0.5000 0.2500
Ba1 Ba 0.0000 0.0000 0.5000
Ta1 Ta 0.0000 0.5000 0.7500
O1 O 0.1405 0.2977 0.6498
```

Peak list (10 most intense, 2θ = 10–90°, low angle first)
| 2theta | d [Å] | I/Imax | hkl |
| --- | --- | --- | --- |
| 16.33 | 5.427 | 21 | 1 0 1 |
| 26.08 | 3.416 | 100 | 1 1 2 |
| 28.25 | 3.159 | 34 | 2 0 0 |
| 33.81 | 2.651 | 10 | 0 0 4 |
| 40.38 | 2.234 | 16 | 2 2 0 |
| 44.62 | 2.031 | 25 | 2 0 4 |
| 48.71 | 1.869 | 34 | 3 1 2 |
| 53.65 | 1.708 | 13 | 2 2 4 |
| 55.94 | 1.644 | 11 | 1 1 6 |
| 71.23 | 1.324 | 12 | 1 3 6 |



# 3
# AcLaNd3Sm
Computed XRD peak list, Cu Kα (weighted mean of Kα1 and Kα2). Input: DFT lattice parameters and positions (PBE).
Kinematic intensities with the Lorentz-polarization factor, no thermal factor.

```
data_AcLaNd3Sm
_space_group_name_H-M_alt 'C 1 2/m 1'
_space_group_IT_number 12
_space_group_name_Hall '-C 2y'
_cell_length_a 21.0035
_cell_length_b 5.9195
_cell_length_c 7.1971
_cell_angle_alpha 90.00
_cell_angle_beta 90.87
_cell_angle_gamma 90.00
loop_
_atom_site_label
_atom_site_type_symbol
_atom_site_fract_x
_atom_site_fract_y
_atom_site_fract_z
Ac1 Ac 0.1479 0.0000 0.0362
La1 La 0.0542 0.5000 0.2743
Nd1 Nd 0.0179 0.0000 0.7463
Nd2 Nd 0.1631 0.5000 0.7451
Nd3 Nd 0.2186 0.5000 0.2674
Sm1 Sm 0.1446 0.0000 0.4895
```

Peak list (10 most intense, 2θ = 10–90°, low angle first)
| 2theta | d [Å] | I/Imax | hkl |
| --- | --- | --- | --- |
| 25.45 | 3.500 | 29 | 6 0 0 |
| 28.72 | 3.108 | 55 | 5 1 -1 |
| 29.01 | 3.078 | 63 | 5 1 1 |
| 29.30 | 3.048 | 37 | 1 1 -2 |
| 29.89 | 2.989 | 33 | 4 0 -2 |
| 30.20 | 2.960 | 100 | 0 2 0 |
| 31.63 | 2.829 | 66 | 3 1 -2 |
| 31.94 | 2.802 | 82 | 3 1 2 |
| 33.49 | 2.676 | 65 | 7 1 0 |
| 43.00 | 2.103 | 26 | 4 2 -2 |



# 4
# Pm2TmSi3Ir4
Computed XRD peak list, Cu Kα (weighted mean of Kα1 and Kα2). Input: DFT lattice parameters and positions (PBE).
Kinematic intensities with the Lorentz-polarization factor, no thermal factor.

```
data_Pm2TmSi3Ir4
_space_group_name_H-M_alt 'P -4 m 2'
_space_group_IT_number 115
_space_group_name_Hall 'P -4 -2'
_cell_length_a 4.1387
_cell_length_b 4.1387
_cell_length_c 10.8958
_cell_angle_alpha 90.00
_cell_angle_beta 90.00
_cell_angle_gamma 90.00
loop_
_atom_site_label
_atom_site_type_symbol
_atom_site_fract_x
_atom_site_fract_y
_atom_site_fract_z
Pm1 Pm 0.0000 0.5000 0.2326
Tm1 Tm 0.0000 0.0000 0.5000
Si1 Si 0.0000 0.5000 0.8811
Si2 Si 0.5000 0.5000 0.5000
Ir1 Ir 0.0000 0.0000 0.0000
Ir2 Ir 0.0000 0.5000 0.6601
Ir3 Ir 0.5000 0.5000 0.0000
```

Peak list (10 most intense, 2θ = 10–90°, low angle first)
| 2theta | d [Å] | I/Imax | hkl |
| --- | --- | --- | --- |
| 27.06 | 3.296 | 26 | 1 0 2 |
| 32.83 | 2.728 | 26 | 0 0 4 |
| 34.80 | 2.578 | 100 | 1 1 2 |
| 39.61 | 2.275 | 14 | 1 0 4 |
| 43.74 | 2.069 | 43 | 2 0 0 |
| 45.49 | 1.994 | 17 | 1 1 4 |
| 47.13 | 1.928 | 18 | 1 0 5 |
| 55.77 | 1.648 | 15 | 2 0 4 |
| 63.59 | 1.463 | 14 | 2 2 0 |
| 74.57 | 1.273 | 22 | 3 1 2 |



# 5
# RbErCu2Cl8
Computed XRD peak list, Cu Kα (weighted mean of Kα1 and Kα2). Input: DFT lattice parameters and positions (PBE).
Kinematic intensities with the Lorentz-polarization factor, no thermal factor.

```
data_RbErCu2Cl8
_space_group_name_H-M_alt 'C 1 2/m 1'
_space_group_IT_number 12
_space_group_name_Hall '-C 2y'
_cell_length_a 9.8116
_cell_length_b 7.4767
_cell_length_c 10.0969
_cell_angle_alpha 90.00
_cell_angle_beta 90.56
_cell_angle_gamma 90.00
loop_
_atom_site_label
_atom_site_type_symbol
_atom_site_fract_x
_atom_site_fract_y
_atom_site_fract_z
Rb1 Rb 0.0000 0.0000 0.0000
Er1 Er 0.0000 0.0000 0.5000
Cu1 Cu 0.1369 0.5000 0.7114
Cl1 Cl 0.0150 0.2312 0.6973
Cl2 Cl 0.1714 0.5000 0.9243
Cl3 Cl 0.2319 0.5000 0.5102
```

Peak list (10 most intense, 2θ = 10–90°, low angle first)
| 2theta | d [Å] | I/Imax | hkl |
| --- | --- | --- | --- |
| 14.90 | 5.947 | 25 | 1 1 0 |
| 17.35 | 5.112 | 54 | 1 1 1 |
| 18.08 | 4.906 | 33 | 2 0 0 |
| 20.05 | 4.429 | 28 | 2 0 -1 |
| 23.04 | 3.860 | 43 | 1 1 -2 |
| 23.18 | 3.837 | 44 | 1 1 2 |
| 23.80 | 3.738 | 38 | 0 2 0 |
| 29.79 | 2.999 | 100 | 3 1 0 |
| 34.94 | 2.568 | 24 | 2 2 -2 |
| 41.44 | 2.179 | 26 | 1 3 2 |



# 6
# AcPr2NbN4
Computed XRD peak list, Cu Kα (weighted mean of Kα1 and Kα2). Input: DFT lattice parameters and positions (PBE).
Kinematic intensities with the Lorentz-polarization factor, no thermal factor.

```
data_AcPr2NbN4
_space_group_name_H-M_alt 'C m c m'
_space_group_IT_number 63
_space_group_name_Hall '-C 2c 2'
_cell_length_a 3.5822
_cell_length_b 12.6230
_cell_length_c 12.6352
_cell_angle_alpha 90.00
_cell_angle_beta 90.00
_cell_angle_gamma 90.00
loop_
_atom_site_label
_atom_site_type_symbol
_atom_site_fract_x
_atom_site_fract_y
_atom_site_fract_z
Ac1 Ac 0.0000 0.0907 0.2500
Pr1 Pr 0.0000 0.3702 0.0368
Nb1 Nb 0.0000 0.1705 0.7500
N1 N 0.0000 0.0000 0.0000
N2 N 0.0000 0.2658 0.6294
N3 N 0.0000 0.4253 0.2500
```

Peak list (10 most intense, 2θ = 10–90°, low angle first)
| 2theta | d [Å] | I/Imax | hkl |
| --- | --- | --- | --- |
| 25.42 | 3.503 | 41 | 0 2 3 |
| 28.26 | 3.157 | 82 | 0 0 4 |
| 29.17 | 3.062 | 21 | 0 4 1 |
| 29.53 | 3.025 | 100 | 1 1 2 |
| 33.61 | 2.666 | 47 | 1 3 1 |
| 35.86 | 2.504 | 47 | 1 3 2 |
| 40.40 | 2.233 | 20 | 0 4 4 |
| 46.28 | 1.962 | 20 | 1 5 2 |
| 49.16 | 1.853 | 42 | 1 3 5 |
| 59.32 | 1.558 | 21 | 2 0 4 |



# 7
# Na5B6C4
Computed XRD peak list, Cu Kα (weighted mean of Kα1 and Kα2). Input: DFT lattice parameters and positions (PBE).
Kinematic intensities with the Lorentz-polarization factor, no thermal factor.

```
data_Na5B6C4
_space_group_name_H-M_alt 'A m m 2'
_space_group_IT_number 38
_space_group_name_Hall 'A 2 -2'
_cell_length_a 8.4817
_cell_length_b 2.8323
_cell_length_c 24.9752
_cell_angle_alpha 90.00
_cell_angle_beta 90.00
_cell_angle_gamma 90.00
loop_
_atom_site_label
_atom_site_type_symbol
_atom_site_fract_x
_atom_site_fract_y
_atom_site_fract_z
Na1 Na 0.2475 0.0000 0.0000
Na2 Na 0.2480 0.0000 0.5999
Na3 Na 0.2486 0.0000 0.8000
Na4 Na 0.2501 0.0000 0.1999
Na5 Na 0.2501 0.0000 0.4001
B1 B 0.0000 0.0000 0.0665
B2 B 0.0000 0.0000 0.2663
B3 B 0.0000 0.0000 0.4662
B4 B 0.0000 0.0000 0.6663
B5 B 0.0000 0.0000 0.8661
B6 B 0.5000 0.0000 0.1272
B7 B 0.5000 0.0000 0.3307
B8 B 0.5000 0.0000 0.5332
B9 B 0.5000 0.0000 0.6668
B10 B 0.5000 0.0000 0.7359
B11 B 0.5000 0.0000 0.8690
B12 B 0.5000 0.0000 0.9387
C1 C 0.0000 0.0000 0.1329
C2 C 0.0000 0.0000 0.3329
C3 C 0.0000 0.0000 0.5329
C4 C 0.0000 0.0000 0.7328
C5 C 0.0000 0.0000 0.9329
C6 C 0.5000 0.0000 0.0641
C7 C 0.5000 0.0000 0.2668
C8 C 0.5000 0.0000 0.4689
```

Peak list (10 most intense, 2θ = 10–90°, low angle first)
| 2theta | d [Å] | I/Imax | hkl |
| --- | --- | --- | --- |
| 35.96 | 2.498 | 9 | 0 0 10 |
| 36.47 | 2.464 | 17 | 0 1 5 |
| 41.98 | 2.152 | 51 | 2 0 10 |
| 42.43 | 2.130 | 100 | 2 1 5 |
| 42.64 | 2.120 | 39 | 4 0 0 |
| 57.33 | 1.607 | 10 | 4 1 5 |
| 64.97 | 1.435 | 17 | 0 1 15 |
| 77.92 | 1.226 | 13 | 6 1 5 |
| 80.87 | 1.189 | 17 | 4 1 15 |
| 81.34 | 1.183 | 11 | 2 2 10 |



Please write out number 5 again, unchanged.
# RbErCu2Cl8
Computed XRD peak list, Cu Kα (weighted mean of Kα1 and Kα2). Input: DFT lattice parameters and positions (PBE).
Kinematic intensities with the Lorentz-polarization factor, no thermal factor.

```
data_RbErCu2Cl8
_space_group_name_H-M_alt 'C 1 2/m 1'
_space_group_IT_number 12
_space_group_name_Hall '-C 2y'
_cell_length_a 9.8116
_cell_length_b 7.4767
_cell_length_c 10.0969
_cell_angle_alpha 90.00
_cell_angle_beta 90.56
_cell_angle_gamma 90.00
loop_
_atom_site_label
_atom_site_type_symbol
_atom_site_fract_x
_atom_site_fract_y
_atom_site_fract_z
Rb1 Rb 0.0000 0.0000 0.0000
Er1 Er 0.0000 0.0000 0.5000
Cu1 Cu 0.1369 0.5000 0.7114
Cl1 Cl 0.0150 0.2312 0.6973
Cl2 Cl 0.1714 0.5000 0.9243
Cl3 Cl 0.2319 0.5000 0.5102
```

Peak list (10 most intense, 2θ = 10–90°, low angle first)
| 2theta | d [Å] | I/Imax | hkl |
| --- | --- | --- | --- |
| 14.90 | 5.947 | 25 | 1 1 0 |
| 17.35 | 5.112 | 54 | 1 1 1 |
| 18.08 | 4.906 | 33 | 2 0 0 |
| 20.05 | 4.429 | 28 | 2 0 -1 |
| 23.04 | 3.860 | 43 | 1 1 -2 |
| 23.18 | 3.837 | 44 | 1 1 2 |
| 23.80 | 3.738 | 38 | 0 2 0 |
| 29.79 | 2.999 | 100 | 3 1 0 |
| 34.94 | 2.568 | 24 | 2 2 -2 |
| 41.44 | 2.179 | 26 | 1 3 2 |